For Zr2Br3Cl3, a DFT-relaxed cell (GGA-PBE, OQMD) gives the calculated XRD peak list in this record (Cu Kα).
No peak broadening, texture or thermal motion is included.

Principal peaks in the range 2θ from 5° to 70°, low angle first:
2θ = 14.81°, I 100, (1 0 0)
2θ = 29.65°, I 79, (1 1 1)
2θ = 32.67°, I 16, (1 0 2)
2θ = 39.16°, I 54, (1 1 2)
2θ = 42.09°, I 16, (2 0 2)
2θ = 45.50°, I 32, (3 0 0)
2θ = 50.03°, I 15, (2 1 2)
2θ = 51.74°, I 15, (1 1 3)

Structure:
Cell lengths 6.9052, 6.9052, 6.1692 Å; angles 90.00, 90.00, 120.00 degrees
Space group P-62m (No. 189)
Unique sites:
Zr (0.0000, 0.0000, 0.2437) (multiplicity 2)
Br (0.0000, 0.6799, 0.5000) (multiplicity 3)
Cl (0.0000, 0.3002, 0.0000) (multiplicity 3)